1.
Computed X-ray diffraction stick pattern of Ce2ReN4 for CuKα, from a DFT-relaxed cell (GGA-PBE, Alexandria).
Lines closer than 0.1° are merged.

Structural model:
abc: 13.282 13.282 13.282
angles: 156.48 156.48 33.51
Element x y z (fractional)
Ce (0.050, 0.300, 0.750)
Ce (0.200, 0.450, 0.750)
Ce (0.300, 0.050, 0.250)
Ce (0.450, 0.200, 0.250)
Ce (0.550, 0.800, 0.750)
Ce (0.700, 0.950, 0.750)
Ce (0.800, 0.550, 0.250)
Ce (0.950, 0.700, 0.250)
Re (0.125, 0.875, 0.250)
Re (0.375, 0.625, 0.750)
Re (0.625, 0.375, 0.250)
Re (0.875, 0.125, 0.750)
N (0.039, 0.789, 0.250)
N (0.077, 0.827, 0.654)
N (0.173, 0.327, 0.250)
N (0.211, 0.961, 0.250)
N (0.289, 0.539, 0.750)
N (0.327, 0.577, 0.154)
N (0.423, 0.077, 0.750)
N (0.461, 0.711, 0.750)
N (0.539, 0.289, 0.250)
N (0.577, 0.923, 0.250)
N (0.673, 0.423, 0.846)
N (0.711, 0.461, 0.250)
N (0.789, 0.039, 0.750)
N (0.827, 0.673, 0.750)
N (0.923, 0.173, 0.346)
N (0.961, 0.211, 0.750)

Peak list (10 most intense, 2θ from 5° to 70°, low angle first)
2theta	I_rel
13.9	11
31.5	100
33.1	54
42.7	22
47.5	23
55.0	21
58.1	39
65.7	19
68.4	3
69.4	7



2.
Computed X-ray diffraction stick pattern of Sb for CuKα, from a DFT-relaxed cell (GGA-PBE, Alexandria).
Lines closer than 0.1° are merged.

Structural model:
abc: 9.161 9.161 9.161
angles: 109.47 109.47 109.47
Element x y z (fractional)
Sb (0.000, 0.000, 0.278)
Sb (0.000, 0.000, 0.722)
Sb (0.000, 0.278, 0.000)
Sb (0.000, 0.722, 0.000)
Sb (0.278, 0.000, 0.000)
Sb (0.278, 0.278, 0.278)
Sb (0.722, 0.000, 0.000)
Sb (0.722, 0.722, 0.722)

Peak list (10 most intense, 2θ from 5° to 70°, low angle first)
2theta	I_rel
11.8	100
16.8	4
26.6	55
33.9	21
36.0	35
43.6	28
48.7	13
50.3	18
62.0	9
67.4	9



3.
Computed X-ray diffraction stick pattern of Na2SrHg10 for CuKα, from a DFT-relaxed cell (GGA-PBE, Alexandria).
Lines closer than 0.1° are merged.

Structural model:
abc: 10.446 8.567 7.586
angles: 80.33 53.95 45.72
Element x y z (fractional)
Na (0.000, 0.500, 0.000)
Na (0.500, 0.000, 0.500)
Sr (0.000, 0.000, 0.000)
Hg (0.000, 0.000, 0.500)
Hg (0.001, 0.341, 0.659)
Hg (0.279, 0.498, 0.502)
Hg (0.341, 0.001, 0.999)
Hg (0.498, 0.279, 0.721)
Hg (0.500, 0.500, 0.000)
Hg (0.502, 0.721, 0.279)
Hg (0.659, 0.999, 0.001)
Hg (0.721, 0.502, 0.498)
Hg (0.999, 0.659, 0.341)

Peak list (10 most intense, 2θ from 5° to 70°, low angle first)
2theta	I_rel
13.0	39
27.0	40
29.2	55
32.1	100
34.7	52
35.4	54
36.0	41
37.2	27
37.9	55
60.6	27



4.
Computed X-ray diffraction stick pattern of Li5La5Si4N12 for CuKα, from a DFT-relaxed cell (GGA-PBE, Alexandria).
Lines closer than 0.1° are merged.

Structural model:
abc: 11.071 11.071 5.619
angles: 90.00 90.00 90.00
Element x y z (fractional)
Li (0.000, 0.500, 0.000)
Li (0.115, 0.292, 0.855)
Li (0.208, 0.385, 0.145)
Li (0.292, 0.885, 0.145)
Li (0.385, 0.792, 0.855)
Li (0.500, 0.000, 0.000)
Li (0.615, 0.208, 0.855)
Li (0.708, 0.115, 0.145)
Li (0.792, 0.615, 0.145)
Li (0.885, 0.708, 0.855)
La (0.000, 0.500, 0.500)
La (0.118, 0.878, 0.732)
La (0.122, 0.118, 0.268)
La (0.378, 0.618, 0.268)
La (0.382, 0.378, 0.732)
La (0.500, 0.000, 0.500)
La (0.618, 0.622, 0.732)
La (0.622, 0.382, 0.268)
La (0.878, 0.882, 0.268)
La (0.882, 0.122, 0.732)
Si (0.110, 0.732, 0.238)
Si (0.232, 0.610, 0.762)
Si (0.268, 0.110, 0.762)
Si (0.390, 0.232, 0.238)
Si (0.610, 0.768, 0.238)
Si (0.732, 0.890, 0.762)
Si (0.768, 0.390, 0.762)
Si (0.890, 0.268, 0.238)
N (0.031, 0.333, 0.197)
N (0.106, 0.892, 0.267)
N (0.108, 0.106, 0.733)
N (0.167, 0.469, 0.803)
N (0.172, 0.672, 0.500)
N (0.213, 0.713, 0.000)
N (0.287, 0.213, 0.000)
N (0.328, 0.172, 0.500)
N (0.333, 0.969, 0.803)
N (0.392, 0.606, 0.733)
N (0.394, 0.392, 0.267)
N (0.469, 0.833, 0.197)
N (0.531, 0.167, 0.197)
N (0.606, 0.608, 0.267)
N (0.608, 0.394, 0.733)
N (0.667, 0.031, 0.803)
N (0.672, 0.828, 0.500)
N (0.713, 0.787, 0.000)
N (0.787, 0.287, 0.000)
N (0.828, 0.328, 0.500)
N (0.833, 0.531, 0.803)
N (0.892, 0.894, 0.733)
N (0.894, 0.108, 0.267)
N (0.969, 0.667, 0.197)

Peak list (10 most intense, 2θ from 5° to 70°, low angle first)
2theta	I_rel
11.3	29
24.0	100
25.4	67
31.8	23
32.3	28
33.2	97
33.9	47
41.6	44
46.0	55
47.1	30



5.
Computed X-ray diffraction stick pattern of La2S4Cl for CuKα, from a DFT-relaxed cell (GGA-PBE, Alexandria).
Lines closer than 0.1° are merged.

Structural model:
abc: 8.692 8.692 8.692
angles: 149.71 149.71 43.36
Element x y z (fractional)
La (0.140, 0.140, 0.000)
La (0.860, 0.860, 0.000)
S (0.000, 0.500, 0.500)
S (0.312, 0.312, 0.000)
S (0.500, 0.000, 0.500)
S (0.688, 0.688, 0.000)
Cl (0.500, 0.500, 0.000)

Peak list (10 most intense, 2θ from 5° to 70°, low angle first)
2theta	I_rel
20.3	45
25.7	100
27.8	86
29.9	26
34.1	33
35.7	73
39.7	65
44.0	35
47.9	37
60.8	27



6.
Computed X-ray diffraction stick pattern of Sc3Re2 for CuKα, from a DFT-relaxed cell (GGA-PBE, Alexandria).
Lines closer than 0.1° are merged.

Structural model:
abc: 4.692 4.692 5.399
angles: 90.00 90.00 120.00
Element x y z (fractional)
Sc (0.000, 0.000, 0.000)
Sc (0.333, 0.667, 0.375)
Sc (0.667, 0.333, 0.625)
Re (0.333, 0.667, 0.906)
Re (0.667, 0.333, 0.094)

Peak list (10 most intense, 2θ from 5° to 70°, low angle first)
2theta	I_rel
16.4	88
21.9	56
27.5	38
38.4	100
40.1	98
42.0	51
51.6	11
55.9	19
56.7	35
69.4	17



7.
Computed X-ray diffraction stick pattern of PuTl16Hg12 for CuKα, from a DFT-relaxed cell (GGA-PBE, Alexandria).
Lines closer than 0.1° are merged.

Structural model:
abc: 10.192 10.192 10.094
angles: 108.80 108.80 108.61
Element x y z (fractional)
Pu (0.000, 0.000, 0.000)
Tl (0.028, 0.716, 0.127)
Tl (0.308, 0.628, 0.328)
Tl (0.309, 0.663, 0.715)
Tl (0.312, 0.312, 0.083)
Tl (0.313, 0.313, 0.724)
Tl (0.314, 0.909, 0.037)
Tl (0.594, 0.989, 0.404)
Tl (0.628, 0.308, 0.328)
Tl (0.632, 0.902, 0.720)
Tl (0.663, 0.309, 0.715)
Tl (0.691, 0.691, 0.423)
Tl (0.716, 0.028, 0.127)
Tl (0.902, 0.632, 0.720)
Tl (0.909, 0.314, 0.037)
Tl (0.961, 0.961, 0.384)
Tl (0.989, 0.594, 0.404)
Hg (0.115, 0.302, 0.342)
Hg (0.126, 0.504, 0.911)
Hg (0.126, 0.942, 0.730)
Hg (0.302, 0.115, 0.342)
Hg (0.315, 0.946, 0.543)
Hg (0.483, 0.673, 0.081)
Hg (0.490, 0.490, 0.548)
Hg (0.504, 0.126, 0.911)
Hg (0.673, 0.483, 0.081)
Hg (0.695, 0.695, 0.916)
Hg (0.942, 0.126, 0.730)
Hg (0.946, 0.315, 0.543)

Peak list (10 most intense, 2θ from 5° to 70°, low angle first)
2theta	I_rel
31.5	100
31.8	60
31.9	31
32.0	69
32.1	65
32.4	98
32.5	100
32.6	56
35.9	54
36.2	30